Calculated powder diffraction line list of Li5Fe2P2C2O14 for Cu Kα (weighted mean of Kα1 and Kα2), from a DFT-relaxed cell (GGA+U, Alexandria).
Neutral-atom scattering factors, no anomalous dispersion.

Unit cell a=5.100 b=6.411 c=8.512 alpha=94.75 beta=94.85 gamma=94.02
Sites, in units of the cell vectors:
Li  0.000  0.000  0.000
Li  0.058  0.698  0.650
Li  0.545  0.901  0.495
Li  0.618  0.424  0.520
Li  0.891  0.461  0.989
Fe  0.075  0.191  0.406
Fe  0.456  0.700  0.090
P  0.542  0.203  0.171
P  0.978  0.688  0.332
C  0.003  0.204  0.696
C  0.580  0.713  0.795
O  0.002  0.504  0.444
O  0.084  0.629  0.173
O  0.147  0.880  0.429
O  0.233  0.234  0.642
O  0.335  0.701  0.819
O  0.375  0.011  0.086
O  0.430  0.259  0.335
O  0.543  0.389  0.069
O  0.658  0.697  0.653
O  0.687  0.740  0.316
O  0.758  0.738  0.916
O  0.806  0.161  0.580
O  0.838  0.148  0.205
O  0.961  0.216  0.840

Main lines, in order of rising 2θ (10 to 80 degrees two-theta):
h k l  2theta  intensity
0 0 1  10.47  100
0 1 -1  16.67  18
1 0 -1  19.59  30
1 0 1  21.25  41
1 -1 1  24.17  15
1 0 -2  26.21  30
0 2 0  28.02  67
1 -2 1  33.48  21
2 0 -1  36.07  18
1 -3 0  44.98  15